Diffraction record for VOF. The PXRD pattern is simulated, not measured: it uses a GGA+U-relaxed structure and Cu Ka.
Peak positions follow from Bragg's law for the DFT cell and can differ from measured ones.

Top 12 peaks for 10° ≤ 2θ ≤ 90°, by angle:
index, 2θ (°), intensity
0 1 1, 26.71, 100
3 1 0, 34.38, 51
3 1 1, 39.47, 27
0 1 2, 42.84, 6
1 1 2, 43.97, 7
3 2 1, 52.27, 57
0 2 2, 55.02, 17
6 0 0, 59.03, 11
6 1 1, 65.93, 12
3 3 0, 66.43, 10
3 0 3, 66.61, 12
6 2 2, 84.96, 8

Atomic structure:
Lattice parameters (Å, degrees): 9.389 4.727 4.714 90.00 90.00 90.00
Sites, in units of the cell vectors:
1 V 0.000 0.226 0.000
2 V 0.167 0.720 0.432
3 V 0.333 0.280 0.932
4 V 0.500 0.774 0.500
5 V 0.667 0.280 0.932
6 V 0.833 0.720 0.432
7 O 0.000 0.923 0.270
8 O 0.168 0.432 0.146
9 O 0.332 0.568 0.646
10 O 0.500 0.077 0.770
11 O 0.668 0.568 0.646
12 O 0.832 0.432 0.146
13 F 0.000 0.517 0.652
14 F 0.166 0.042 0.752
15 F 0.334 0.958 0.252
16 F 0.500 0.483 0.152
17 F 0.666 0.958 0.252
18 F 0.834 0.042 0.752